Diffraction record for Ho3Al9Os2. The powder diffraction line list is computed, not measured: it uses a crystal structure in Alexandria, relaxed with PBE and Cu Kα (weighted mean of Kα1 and Kα2).
Neutral-atom scattering factors, no anomalous dispersion.

Most intense lines, 10 to 90 degrees two-theta, low angle first:
| two_theta | I (rel.) |
| --- | --- |
| 14.32 | 30 |
| 22.58 | 96 |
| 23.55 | 29 |
| 28.84 | 42 |
| 29.01 | 28 |
| 35.49 | 100 |
| 35.67 | 65 |
| 36.96 | 51 |
| 38.03 | 50 |
| 41.77 | 40 |
| 43.96 | 29 |
| 56.07 | 36 |

Structural model:
```
Ho3Al9Os2
1.0
-2.1623 4.7672 6.1837
2.1623 -4.7672 6.1837
2.1623 4.7672 -6.1837
Ho Al Os
3 9 2
Cartesian
0.0000 0.0000 0.0000 Ho
0.0000 0.0000 3.6643 Ho
0.0000 0.0000 8.7032 Ho
2.1623 -1.3272 1.8369 Al
2.1623 -2.0577 4.6117 Al
2.1623 1.3272 1.8369 Al
0.0000 2.7095 1.5721 Al
0.0000 4.7672 0.0000 Al
2.1623 2.0577 4.6117 Al
0.0000 3.4400 4.3468 Al
0.0000 6.8248 1.5721 Al
0.0000 6.0943 4.3468 Al
2.1623 3.1436 0.0000 Os
0.0000 1.6235 6.1837 Os
```